# 1
This entry pairs a crystal structure of PrNdTl with its calculated X-ray powder pattern. Radiation: Cu Kα X-rays. Structure: a structure optimized by DFT (PBE).
Lines closer than 0.1° are merged.

Principal peaks in the range 5 to 70 degrees two-theta, by angle:
- 2θ 30.14, rel. 100
- 2θ 33.24, rel. 83
- 2θ 45.48, rel. 33
- 2θ 51.49, rel. 23
- 2θ 57.49, rel. 33
- 2θ 59.40, rel. 16
- 2θ 62.67, rel. 13
- 2θ 69.79, rel. 10

Structure:
```
PrNdTl
1.0
5.390 0.000 0.000
-2.695 4.668 0.000
0.000 0.000 3.838
Pr Nd Tl
1 1 1
Cartesian
0.000 0.000 0.000
2.695 1.556 1.694
0.000 3.112 2.622
```

# 2
This entry pairs a crystal structure of Pr5Nd3Tl2 with its calculated X-ray powder pattern. Radiation: Cu Kα X-rays. Structure: a structure optimized by DFT (PBE).
Lines closer than 0.1° are merged.

Principal peaks in the range 5 to 70 degrees two-theta, by angle:
- 2θ 25.43, rel. 51
- 2θ 28.72, rel. 100
- 2θ 29.03, rel. 96
- 2θ 34.53, rel. 92
- 2θ 35.16, rel. 34
- 2θ 35.42, rel. 33
- 2θ 37.72, rel. 98
- 2θ 52.24, rel. 52

Structure:
```
Pr5Nd3Tl2
1.0
-6.703 7.744 3.394
6.703 -7.744 3.394
6.703 7.744 -3.394
Pr Nd Tl
10 6 4
Cartesian
1.624 2.496 0.000
3.357 7.744 -1.697
0.000 0.000 1.697
3.346 0.000 1.697
8.327 5.248 0.000
-1.624 2.496 3.394
3.346 0.000 5.091
3.357 7.744 1.697
0.000 0.000 5.091
5.079 5.248 3.394
5.128 3.707 0.000
6.703 0.000 1.697
5.128 -3.707 3.394
1.575 11.450 0.000
0.000 7.744 1.697
1.575 4.037 3.394
8.413 2.244 0.000
1.710 5.500 0.000
4.993 2.244 3.394
-1.710 5.500 3.394
```

# 3
This entry pairs a crystal structure of Pr5Nd4Tl4 with its calculated X-ray powder pattern. Radiation: Cu Kα X-rays. Structure: a structure optimized by DFT (PBE).
Lines closer than 0.1° are merged.

Principal peaks in the range 5 to 70 degrees two-theta, by angle:
- 2θ 30.48, rel. 100
- 2θ 31.38, rel. 10
- 2θ 33.64, rel. 13
- 2θ 34.16, rel. 24
- 2θ 35.92, rel. 17
- 2θ 50.41, rel. 13
- 2θ 58.89, rel. 16
- 2θ 64.98, rel. 9

Structure:
```
Pr5Nd4Tl4
1.0
-6.374 6.374 2.625
6.374 -6.374 2.625
6.374 6.374 -2.625
Pr Nd Tl
5 4 4
Cartesian
0.000 0.000 0.000
7.648 3.930 0.000
3.930 5.100 0.000
2.444 1.274 2.625
-1.274 2.444 2.625
4.939 1.169 0.000
5.205 -1.435 2.625
1.169 7.809 0.000
1.435 5.205 2.625
9.790 1.369 0.000
1.369 2.958 0.000
5.005 3.416 2.625
-3.416 5.005 2.625
```

# 4
This entry pairs a crystal structure of Pr3Nd6Tm2Tl with its calculated X-ray powder pattern. Radiation: Cu Kα X-rays. Structure: a structure optimized by DFT (PBE).
Lines closer than 0.1° are merged.

Principal peaks in the range 5 to 70 degrees two-theta, by angle:
- 2θ 30.10, rel. 100
- 2θ 30.62, rel. 31
- 2θ 34.95, rel. 45
- 2θ 35.23, rel. 22
- 2θ 50.14, rel. 16
- 2θ 50.80, rel. 15
- 2θ 59.70, rel. 19
- 2θ 62.57, rel. 12

Structure:
```
Pr3Nd6Tm2Tl
1.0
3.147 -5.483 0.000
3.147 5.483 0.000
-2.178 0.000 11.681
Pr Nd Tm Tl
3 6 2 1
Cartesian
0.000 0.000 0.000
3.147 1.857 0.000
3.147 -1.857 0.000
1.061 1.792 3.030
-0.031 0.000 8.687
1.061 -1.792 3.030
3.055 1.792 8.651
4.148 0.000 2.994
3.055 -1.792 8.651
2.058 3.670 5.840
2.058 -3.670 5.840
2.058 0.000 5.840
```